[1]
Theoretical powder diffractogram
Compound: Li2VO2F
Radiation: Cu Kα
Structure: a cell relaxed with PBE+U
Neutral-atom scattering factors, no anomalous dispersion.

Structure:
a = 13.2629 Å, b = 13.2629 Å, c = 7.3439 Å
α = 90.78°, β = 90.78°, γ = 12.98°
Positions (direct):
Li 0.0000 0.0000 0.0000
Li 0.1164 0.1164 0.7120
Li 0.1773 0.1773 0.0023
Li 0.3346 0.3346 0.7053
Li 0.3998 0.3998 0.0140
Li 0.5325 0.5325 0.7237
Li 0.5806 0.5806 0.9982
Li 0.7303 0.7303 0.7143
Li 0.8002 0.8002 0.0103
Li 0.9336 0.9336 0.6951
V 0.0617 0.0617 0.3578
V 0.2673 0.2673 0.3776
V 0.4623 0.4623 0.3578
V 0.6608 0.6608 0.3704
V 0.8645 0.8645 0.3568
O 0.0603 0.0603 0.8606
O 0.1330 0.1330 0.2188
O 0.2016 0.2016 0.5025
O 0.3263 0.3263 0.2106
O 0.3955 0.3955 0.5108
O 0.5286 0.5286 0.2114
O 0.5965 0.5965 0.5068
O 0.7988 0.7988 0.5178
O 0.9272 0.9272 0.2050
O 0.9944 0.9944 0.5030
F 0.2664 0.2664 0.8591
F 0.4583 0.4583 0.8571
F 0.6671 0.6671 0.8516
F 0.7315 0.7315 0.2043
F 0.8628 0.8628 0.8631

Largest 6 diffraction maxima, by intensity, 2θ = 5–70°:
2θ = 12.05°, intensity 100.0; 2θ = 42.68°, intensity 44.7; 2θ = 24.24°, intensity 29.4; 2θ = 41.92°, intensity 23.1; 2θ = 34.41°, intensity 16.1; 2θ = 61.13°, intensity 14.0

=====

[2]
Theoretical powder diffractogram
Compound: Li5VO4F
Radiation: Cu Kα
Structure: a cell relaxed with PBE+U
Neutral-atom scattering factors, no anomalous dispersion.

Structure:
a = 5.1313 Å, b = 5.1313 Å, c = 5.8095 Å
α = 106.53°, β = 106.53°, γ = 46.06°
Positions (direct):
Li 0.0000 0.0000 0.0000
Li 0.0235 0.0235 0.4537
Li 0.3146 0.3146 0.6345
Li 0.6205 0.6205 0.8090
Li 0.6462 0.6462 0.2584
V 0.3069 0.3069 0.0993
O 0.1553 0.1553 0.8000
O 0.1838 0.1838 0.3024
O 0.4628 0.4628 0.9634
O 0.8218 0.8218 0.1312
F 0.4908 0.4908 0.4632

Largest 6 diffraction maxima, by intensity, 2θ = 5–70°:
2θ = 16.04°, intensity 100.0; 2θ = 43.41°, intensity 92.2; 2θ = 24.28°, intensity 90.8; 2θ = 21.29°, intensity 54.6; 2θ = 45.17°, intensity 38.0; 2θ = 64.43°, intensity 36.7

=====

[3]
Theoretical powder diffractogram
Compound: Li2VOF5
Radiation: Cu Kα
Structure: a cell relaxed with PBE+U
Neutral-atom scattering factors, no anomalous dispersion.

Structure:
a = 4.9608 Å, b = 4.9608 Å, c = 13.4019 Å
α = 90.00°, β = 90.00°, γ = 120.00°
Positions (direct):
Li 0.0058 0.0019 0.0000
Li 0.3221 0.6714 0.0000
Li 0.3286 0.6507 0.3333
Li 0.3493 0.6779 0.6667
Li 0.9961 0.9942 0.6667
Li 0.9981 0.0039 0.3333
V 0.6480 0.3201 0.1654
V 0.6722 0.3520 0.8320
V 0.6799 0.3278 0.4987
O 0.3758 0.0498 0.2344
O 0.6740 0.6242 0.9011
O 0.9502 0.3260 0.5677
F 0.3424 0.0183 0.5704
F 0.3445 0.3274 0.4096
F 0.3638 0.0162 0.9048
F 0.3639 0.3221 0.7430
F 0.3701 0.3487 0.0750
F 0.6513 0.0214 0.4084
F 0.6525 0.6362 0.5715
F 0.6726 0.0171 0.7429
F 0.6759 0.6576 0.2370
F 0.6779 0.0418 0.0763
F 0.9582 0.6361 0.4097
F 0.9786 0.6299 0.7417
F 0.9817 0.3241 0.9037
F 0.9829 0.6555 0.0762
F 0.9838 0.3475 0.2381

Largest 6 diffraction maxima, by intensity, 2θ = 5–70°:
2θ = 20.67°, intensity 100.0; 2θ = 41.65°, intensity 91.5; 2θ = 28.83°, intensity 81.3; 2θ = 55.35°, intensity 42.9; 2θ = 19.87°, intensity 23.9; 2θ = 65.14°, intensity 23.0

=====

[4]
Theoretical powder diffractogram
Compound: LiV2OF5
Radiation: Cu Kα
Structure: a cell relaxed with PBE+U
Neutral-atom scattering factors, no anomalous dispersion.

Structure:
a = 5.2250 Å, b = 5.5220 Å, c = 12.8381 Å
α = 86.64°, β = 88.72°, γ = 62.04°
Positions (direct):
Li 0.0000 0.0000 0.0000
Li 0.0036 0.0168 0.4800
Li 0.3038 0.3612 0.6589
V 0.2743 0.4274 0.4185
V 0.2790 0.4485 0.9108
V 0.5798 0.8140 0.5836
V 0.5830 0.7975 0.0909
V 0.8983 0.1472 0.7565
V 0.9558 0.1068 0.2435
O 0.1964 0.9920 0.1287
O 0.3106 0.1281 0.5083
O 0.5090 0.3316 0.7908
F 0.0460 0.2463 0.8876
F 0.1431 0.3227 0.2980
F 0.2130 0.7888 0.3515
F 0.3293 0.9582 0.7082
F 0.3672 0.5923 0.5479
F 0.4334 0.6858 0.9616
F 0.5770 0.1207 0.0013
F 0.6660 0.4473 0.1626
F 0.7023 0.2375 0.3789
F 0.7366 0.9120 0.2124
F 0.7974 0.0295 0.6183
F 0.8572 0.6655 0.4699
F 0.8880 0.4765 0.6721
F 0.9849 0.7947 0.8281
F 0.9950 0.6174 0.0296

Largest 6 diffraction maxima, by intensity, 2θ = 5–70°:
2θ = 23.69°, intensity 100.0; 2θ = 23.54°, intensity 99.4; 2θ = 23.31°, intensity 96.3; 2θ = 32.58°, intensity 47.7; 2θ = 52.69°, intensity 42.9; 2θ = 39.45°, intensity 33.3

=====

[5]
Theoretical powder diffractogram
Compound: LiV2OF5
Radiation: Cu Kα
Structure: a cell relaxed with PBE+U
Neutral-atom scattering factors, no anomalous dispersion.

Structure:
a = 4.7256 Å, b = 4.7256 Å, c = 18.6438 Å
α = 90.54°, β = 90.54°, γ = 89.97°
Positions (direct):
Li 0.0032 0.9968 0.5000
Li 0.4934 0.5009 0.7503
Li 0.5009 0.4934 0.2503
Li 0.9968 0.0032 0.0000
V 0.0038 0.0081 0.6591
V 0.0081 0.0038 0.1591
V 0.0221 0.0318 0.8310
V 0.0318 0.0221 0.3310
V 0.4730 0.5313 0.0810
V 0.4964 0.5014 0.9092
V 0.5014 0.4964 0.4092
V 0.5313 0.4730 0.5810
O 0.1924 0.8061 0.0864
O 0.3037 0.3058 0.8368
O 0.3058 0.3037 0.3368
O 0.8061 0.1924 0.5864
F 0.1942 0.8088 0.9121
F 0.1963 0.8126 0.2475
F 0.1961 0.8160 0.7451
F 0.2201 0.8106 0.4151
F 0.2290 0.7921 0.5830
F 0.2986 0.3111 0.1644
F 0.3103 0.3147 0.9978
F 0.3111 0.2986 0.6644
F 0.3147 0.3103 0.4978
F 0.6722 0.7154 0.9950
F 0.6943 0.7104 0.1625
F 0.7104 0.6943 0.6625
F 0.7135 0.7187 0.8328
F 0.7154 0.6722 0.4950
F 0.7187 0.7135 0.3328
F 0.7921 0.2290 0.0830
F 0.8088 0.1942 0.4121
F 0.8106 0.2201 0.9151
F 0.8126 0.1963 0.7475
F 0.8160 0.1961 0.2451

Largest 6 diffraction maxima, by intensity, 2θ = 5–70°:
2θ = 26.68°, intensity 100.0; 2θ = 21.00°, intensity 31.1; 2θ = 39.61°, intensity 25.3; 2θ = 21.16°, intensity 25.3; 2θ = 19.04°, intensity 24.3; 2θ = 54.96°, intensity 23.2

=====

[6]
Theoretical powder diffractogram
Compound: LiV2OF5
Radiation: Cu Kα
Structure: a cell relaxed with PBE+U
Neutral-atom scattering factors, no anomalous dispersion.

Structure:
a = 5.2173 Å, b = 5.2173 Å, c = 13.8937 Å
α = 90.00°, β = 90.00°, γ = 120.00°
Positions (direct):
Li 0.0000 0.3157 0.1667
Li 0.3157 0.0000 0.8333
Li 0.6843 0.6843 0.5000
V 0.0177 0.3231 0.4199
V 0.3054 0.9823 0.0865
V 0.3231 0.0177 0.5801
V 0.6769 0.6946 0.7532
V 0.6946 0.6769 0.2468
V 0.9823 0.3054 0.9135
O 0.0000 0.9465 0.1667
O 0.0535 0.0535 0.5000
O 0.9465 0.0000 0.8333
F 0.0000 0.7281 0.6667
F 0.0410 0.6455 0.9985
F 0.2719 0.2719 0.0000
F 0.3145 0.6799 0.4978
F 0.3201 0.6346 0.8311
F 0.3545 0.3955 0.3318
F 0.3654 0.6855 0.1644
F 0.3955 0.3545 0.6682
F 0.6045 0.9590 0.6651
F 0.6346 0.3201 0.1689
F 0.6455 0.0410 0.0015
F 0.6799 0.3145 0.5022
F 0.6855 0.3654 0.8356
F 0.7281 0.0000 0.3333
F 0.9590 0.6045 0.3349

Largest 6 diffraction maxima, by intensity, 2θ = 5–70°:
2θ = 23.49°, intensity 100.0; 2θ = 39.65°, intensity 29.9; 2θ = 52.87°, intensity 29.5; 2θ = 32.51°, intensity 25.5; 2θ = 48.04°, intensity 20.3; 2θ = 61.58°, intensity 13.6

=====

[7]
Theoretical powder diffractogram
Compound: Li7VO5F
Radiation: Cu Kα
Structure: a cell relaxed with PBE+U
Neutral-atom scattering factors, no anomalous dispersion.

Structure:
a = 5.3964 Å, b = 5.4027 Å, c = 5.9082 Å
α = 117.03°, β = 90.22°, γ = 119.84°
Positions (direct):
Li 0.0000 0.0000 0.0000
Li 0.0116 0.5249 0.3156
Li 0.1995 0.1056 0.6153
Li 0.2511 0.6607 0.0154
Li 0.5705 0.3325 0.0334
Li 0.7049 0.8697 0.2719
Li 0.7464 0.4007 0.6377
V 0.5258 0.7940 0.6615
O 0.2450 0.8636 0.8244
O 0.4141 0.9074 0.4139
O 0.5706 0.6078 0.8850
O 0.7169 0.6273 0.4281
O 0.8689 0.2362 0.9079
F 0.0849 0.2516 0.3856

Largest 6 diffraction maxima, by intensity, 2θ = 5–70°:
2θ = 19.87°, intensity 100.0; 2θ = 37.76°, intensity 64.4; 2θ = 22.33°, intensity 56.8; 2θ = 17.65°, intensity 46.9; 2θ = 37.88°, intensity 37.7; 2θ = 49.48°, intensity 35.6

=====

[8]
Theoretical powder diffractogram
Compound: LiVOF3
Radiation: Cu Kα
Structure: a cell relaxed with PBE+U
Neutral-atom scattering factors, no anomalous dispersion.

Structure:
a = 5.4706 Å, b = 5.1900 Å, c = 12.8225 Å
α = 90.00°, β = 113.65°, γ = 90.00°
Positions (direct):
Li 0.0000 0.2397 0.0000
Li 0.0000 0.7603 0.5000
Li 0.5021 0.2446 0.9985
Li 0.5021 0.7554 0.4985
V 0.4864 0.0079 0.7380
V 0.4864 0.9921 0.2380
V 0.9829 0.4624 0.2589
V 0.9829 0.5376 0.7589
O 0.3424 0.0829 0.1014
O 0.3424 0.9171 0.6014
O 0.7631 0.2687 0.2834
O 0.7631 0.7313 0.7834
F 0.1657 0.4021 0.9125
F 0.1657 0.5979 0.4125
F 0.2495 0.3114 0.7241
F 0.2495 0.6886 0.2241
F 0.2649 0.1989 0.2963
F 0.2649 0.8011 0.7963
F 0.6615 0.1177 0.9017
F 0.6615 0.8823 0.4017
F 0.7545 0.2314 0.7153
F 0.7545 0.7686 0.2153
F 0.8484 0.3794 0.0972
F 0.8484 0.6206 0.5972

Largest 6 diffraction maxima, by intensity, 2θ = 5–70°:
2θ = 15.09°, intensity 100.0; 2θ = 24.70°, intensity 60.7; 2θ = 24.98°, intensity 54.5; 2θ = 48.36°, intensity 15.4; 2θ = 32.73°, intensity 11.1; 2θ = 30.44°, intensity 9.6

=====

[9]
Theoretical powder diffractogram
Compound: Li3V2O4F2
Radiation: Cu Kα
Structure: a cell relaxed with PBE+U
Neutral-atom scattering factors, no anomalous dispersion.

Structure:
a = 5.9521 Å, b = 5.9521 Å, c = 8.6996 Å
α = 117.98°, β = 117.98°, γ = 60.14°
Positions (direct):
Li 0.2014 0.7277 0.6238
Li 0.2548 0.2548 0.3590
Li 0.2723 0.7986 0.3762
Li 0.7277 0.2014 0.6238
Li 0.7452 0.7452 0.6410
Li 0.7986 0.2723 0.3762
V 0.2425 0.2425 0.9810
V 0.2536 0.7464 0.0000
V 0.7464 0.2536 0.0000
V 0.7575 0.7575 0.0190
O 0.0044 0.0044 0.8436
O 0.0141 0.5433 0.8639
O 0.4567 0.9859 0.1361
O 0.4817 0.4817 0.1394
O 0.5183 0.5183 0.8606
O 0.5433 0.0141 0.8639
O 0.9859 0.4567 0.1361
O 0.9956 0.9956 0.1564
F 0.0000 0.0000 0.5000
F 0.0000 0.5000 0.5000
F 0.5000 0.0000 0.5000
F 0.5000 0.5000 0.5000

Largest 6 diffraction maxima, by intensity, 2θ = 5–70°:
2θ = 12.11°, intensity 100.0; 2θ = 43.54°, intensity 37.9; 2θ = 24.35°, intensity 33.7; 2θ = 41.73°, intensity 20.0; 2θ = 34.77°, intensity 18.8; 2θ = 62.50°, intensity 10.4

=====

[10]
Theoretical powder diffractogram
Compound: Li3V4O3F9
Radiation: Cu Kα
Structure: a cell relaxed with PBE+U
Neutral-atom scattering factors, no anomalous dispersion.

Structure:
a = 5.3186 Å, b = 5.4068 Å, c = 9.5746 Å
α = 99.23°, β = 97.88°, γ = 112.58°
Positions (direct):
Li 0.0000 0.0000 0.0000
Li 0.2121 0.5351 0.0129
Li 0.5323 0.4821 0.5077
V 0.5331 0.2972 0.8342
V 0.6801 0.4496 0.1740
V 0.7885 0.0624 0.3321
V 0.9422 0.2172 0.6695
O 0.3816 0.2467 0.0087
O 0.5984 0.2912 0.3342
O 0.7128 0.4044 0.6773
F 0.1138 0.3237 0.4920
F 0.1944 0.0126 0.6995
F 0.2823 0.5141 0.8126
F 0.4872 0.7287 0.1899
F 0.6815 0.8923 0.5089
F 0.7856 0.0863 0.8454
F 0.8752 0.6122 0.9935
F 0.9152 0.2217 0.1566
F 0.9848 0.8088 0.2890

Largest 6 diffraction maxima, by intensity, 2θ = 5–70°:
2θ = 18.54°, intensity 100.0; 2θ = 18.27°, intensity 63.8; 2θ = 40.45°, intensity 39.5; 2θ = 41.29°, intensity 39.4; 2θ = 18.91°, intensity 39.0; 2θ = 43.26°, intensity 35.6